Record 1
Theoretical powder diffraction line list of Cs3Cl for a wavelength of 1.5418 Å, from DFT lattice parameters and positions (GGA-PBE).
Kinematic intensities with the Lorentz-polarization factor, no thermal factor.

Crystal structure
a b c (Å): 4.6973 15.1652 8.9557
angles (deg): 90.00 90.00 90.00
Space group Imm2 (No. 44)
Unique sites:
Cs 0.0000 0.0000 0.0000
Cs 0.0000 0.1544 0.5511
Cl 0.0000 0.5000 0.2012

Main lines, low angle first (5° ≤ 2θ ≤ 70°):
hkl 0 0 2, 2θ 19.8, d 4.482, rel. 96
hkl 0 3 1, 2θ 20.2, d 4.402, rel. 100
hkl 1 2 1, 2θ 24.4, d 3.647, rel. 56
hkl 1 1 2, 2θ 28.2, d 3.170, rel. 55
hkl 1 4 1, 2θ 31.9, d 2.802, rel. 55
hkl 0 3 3, 2θ 34.9, d 2.570, rel. 27

Record 2
Theoretical powder diffraction line list of Nb6Rh for a wavelength of 1.5418 Å, from DFT lattice parameters and positions (GGA-PBE).
Kinematic intensities with the Lorentz-polarization factor, no thermal factor.

Crystal structure
a b c (Å): 4.5448 4.5448 6.4354
angles (deg): 90.00 90.00 90.00
Space group P4/mmm (No. 123)
Unique sites:
Nb 0.0000 0.0000 0.0000
Nb 0.0000 0.5000 0.2445
Nb 0.5000 0.5000 0.5000
Rh 0.0000 0.0000 0.5000

Main lines, low angle first (5° ≤ 2θ ≤ 70°):
hkl 0 0 1, 2θ 13.8, d 6.435, rel. 4
hkl 1 0 0, 2θ 19.5, d 4.545, rel. 5
hkl 1 0 1, 2θ 24.0, d 3.712, rel. 4
hkl 1 1 1, 2θ 31.1, d 2.875, rel. 4
hkl 2 0 0, 2θ 39.6, d 2.273, rel. 100
hkl 2 2 0, 2θ 57.3, d 1.608, rel. 17

Record 3
Theoretical powder diffraction line list of Ac3HoGe4 for a wavelength of 1.5418 Å, from DFT lattice parameters and positions (GGA-PBE).
Kinematic intensities with the Lorentz-polarization factor, no thermal factor.

Crystal structure
a b c (Å): 6.1868 12.7868 6.3622
angles (deg): 90.00 90.00 90.00
Space group Pmmn (No. 59, origin choice 2)
Unique sites:
Ac 0.2500 0.0011 0.2170
Ac 0.2500 0.7500 0.6961
Ho 0.2500 0.2500 0.7569
Ge 0.2500 0.0244 0.7060
Ge 0.2500 0.2500 0.2404
Ge 0.2500 0.7500 0.1943

Main lines, low angle first (5° ≤ 2θ ≤ 70°):
hkl 1 2 1, 2θ 24.4, d 3.644, rel. 100
hkl 0 4 0, 2θ 27.9, d 3.197, rel. 83
hkl 0 0 2, 2θ 28.0, d 3.181, rel. 68
hkl 2 0 0, 2θ 28.9, d 3.093, rel. 84
hkl 2 4 0, 2θ 40.6, d 2.223, rel. 62
hkl 2 4 2, 2θ 50.1, d 1.822, rel. 53

Record 4
Theoretical powder diffraction line list of Ca4YTe5 for a wavelength of 1.5418 Å, from DFT lattice parameters and positions (GGA-PBE).
Kinematic intensities with the Lorentz-polarization factor, no thermal factor.

Crystal structure
a b c (Å): 4.4732 4.4732 31.7696
angles (deg): 90.00 90.00 90.00
Space group I4/mmm (No. 139)
Unique sites:
Ca 0.0000 0.0000 0.0993
Ca 0.0000 0.0000 0.3004
Y 0.0000 0.0000 0.5000
Te 0.0000 0.0000 0.0000
Te 0.0000 0.0000 0.1996
Te 0.0000 0.0000 0.4019

Main lines, low angle first (5° ≤ 2θ ≤ 70°):
hkl 1 0 5, 2θ 24.3, d 3.658, rel. 42
hkl 0 0 10, 2θ 28.1, d 3.177, rel. 45
hkl 1 1 0, 2θ 28.2, d 3.163, rel. 89
hkl 2 0 0, 2θ 40.3, d 2.240, rel. 100
hkl 2 0 10, 2θ 49.9, d 1.829, rel. 35
hkl 3 1 0, 2θ 66.0, d 1.415, rel. 15